# 1
Computed powder X-ray diffraction pattern
Compound: Rb4U3MnS12
Radiation: Cu Kα, 1.54184 Å
Structure: a GGA-PBE-relaxed structure
Lines closer than 0.1° are merged.

Largest 6 diffraction maxima, in order of falling intensity, 2θ = 10–80°:
hkl 2 2 0, 2θ = 24.54°, d 3.628, I = 100
hkl 4 0 0, 2θ = 34.97°, d 2.565, I = 50
hkl 4 2 2, 2θ = 43.19°, d 2.095, I = 46
hkl 2 0 0, 2θ = 17.28°, d 5.131, I = 35
hkl 4 4 0, 2θ = 50.30°, d 1.814, I = 34
hkl 6 4 2, 2θ = 68.41°, d 1.371, I = 25

Structural model:
a = 10.2620 Å, b = 10.2620 Å, c = 10.2620 Å
α = 90.00°, β = 90.00°, γ = 90.00°
Space group Im-3m (No. 229)
Asymmetric unit:
Rb1 0.2500 0.2500 0.2500 x8
U1 0.0000 0.0000 0.5000 x6
Mn1 0.0000 0.0000 0.0000 x2
S1 0.0000 0.0000 0.2561 x12
S2 0.0000 0.2500 0.5000 x12

# 2
Computed powder X-ray diffraction pattern
Compound: Rb2MnSbSe4
Radiation: Cu Kα, 1.54184 Å
Structure: a GGA-PBE-relaxed structure
Lines closer than 0.1° are merged.

Largest 6 diffraction maxima, in order of falling intensity, 2θ = 10–80°:
hkl 0 0 1, 2θ = 12.03°, d 7.358, I = 100
hkl 0 4 0, 2θ = 29.51°, d 3.027, I = 85
hkl 4 0 -1, 2θ = 28.77°, d 3.103, I = 60
hkl 1 1 2, 2θ = 30.29°, d 2.950, I = 56
hkl 5 1 -3, 2θ = 39.70°, d 2.270, I = 53
hkl 0 2 2, 2θ = 28.39°, d 3.143, I = 51

Structural model:
a = 12.5816 Å, b = 12.1064 Å, c = 8.5559 Å
α = 90.00°, β = 120.69°, γ = 90.00°
Space group C2 (No. 5)
Asymmetric unit:
Rb1 0.0346 0.0000 0.2812 x4
Rb2 0.2226 0.2630 0.8659 x4
Mn1 0.1618 0.7395 0.6113 x4
Sb1 0.0944 0.4624 0.3374 x4
Se1 0.0121 0.7315 0.7213 x4
Se2 0.1474 0.2503 0.4218 x4
Se3 0.1917 0.5312 0.6737 x4
Se4 0.2263 0.9358 0.7382 x4

# 3
Computed powder X-ray diffraction pattern
Compound: Rb2Sc2MnTe6
Radiation: Cu Kα, 1.54184 Å
Structure: a GGA-PBE-relaxed structure
Lines closer than 0.1° are merged.

Largest 6 diffraction maxima, in order of falling intensity, 2θ = 10–80°:
hkl 1 3 1, 2θ = 28.48°, d 3.134, I = 100
hkl 3 3 -1, 2θ = 43.82°, d 2.066, I = 53
hkl 0 0 1, 2θ = 10.06°, d 8.791, I = 49
hkl 2 0 -2, 2θ = 28.17°, d 3.168, I = 48
hkl 0 0 3, 2θ = 30.48°, d 2.933, I = 34
hkl 1 3 -2, 2θ = 30.06°, d 2.972, I = 25

Structural model:
a = 7.1598 Å, b = 12.3911 Å, c = 9.1488 Å
α = 90.00°, β = 106.08°, γ = 90.00°
Space group C2/m (No. 12)
Asymmetric unit:
Rb1 0.0000 0.1707 0.0000 x4
Sc1 0.0000 0.3309 0.5000 x4
Mn1 0.0000 0.0000 0.5000 x2
Te1 0.2256 0.1561 0.6846 x8
Te2 0.2480 0.5000 0.6808 x4

# 4
Computed powder X-ray diffraction pattern
Compound: Rb3Sc3MnTe8
Radiation: Cu Kα, 1.54184 Å
Structure: a GGA-PBE-relaxed structure
Lines closer than 0.1° are merged.

Largest 6 diffraction maxima, in order of falling intensity, 2θ = 10–80°:
hkl 4 0 0, 2θ = 28.07°, d 3.179, I = 100
hkl 0 4 0, 2θ = 43.12°, d 2.098, I = 37
hkl 2 2 1, 2θ = 29.90°, d 2.988, I = 25
hkl 0 0 1, 2θ = 10.10°, d 8.757, I = 25
hkl 2 2 2, 2θ = 36.90°, d 2.436, I = 24
hkl 4 0 1, 2θ = 34.35°, d 2.610, I = 19

Structural model:
a = 14.5491 Å, b = 8.3819 Å, c = 10.0160 Å
α = 90.00°, β = 119.04°, γ = 90.00°
Space group C2/m (No. 12)
Asymmetric unit:
Rb1 0.0000 0.0000 0.0000 x2
Rb2 0.2500 0.2500 0.0000 x4
Sc1 0.0000 0.5000 0.5000 x2
Sc2 0.2500 0.2500 0.5000 x4
Mn1 0.0000 0.0000 0.5000 x2
Te1 0.0194 0.2397 0.3186 x8
Te2 0.2202 0.0000 0.6813 x4
Te3 0.2303 0.5000 0.6910 x4

# 5
Computed powder X-ray diffraction pattern
Compound: Rb2ScMnTe4
Radiation: Cu Kα, 1.54184 Å
Structure: a GGA-PBE-relaxed structure
Lines closer than 0.1° are merged.

Largest 6 diffraction maxima, in order of falling intensity, 2θ = 10–80°:
hkl 2 2 0, 2θ = 27.94°, d 3.194, I = 100
hkl 2 2 4, 2θ = 39.11°, d 2.303, I = 72
hkl 0 0 4, 2θ = 26.82°, d 3.324, I = 64
hkl 0 4 0, 2θ = 39.58°, d 2.277, I = 18
hkl 0 4 4, 2θ = 48.45°, d 1.879, I = 18
hkl 4 0 4, 2θ = 49.04°, d 1.858, I = 15

Structural model:
a = 8.9593 Å, b = 9.1089 Å, c = 13.2963 Å
α = 90.00°, β = 90.00°, γ = 90.00°
Space group Imma (No. 74)
Asymmetric unit:
Rb1 0.0000 0.0000 0.0000 x4
Rb2 0.2500 0.2500 0.2500 x4
Sc1 0.2500 0.2500 0.7500 x4
Mn1 0.0000 0.0000 0.5000 x4
Te1 0.0000 0.0396 0.7369 x8
Te2 0.1931 0.2500 0.5193 x8

# 6
Computed powder X-ray diffraction pattern
Compound: Rb2Mn2Se3
Radiation: Cu Kα, 1.54184 Å
Structure: a GGA-PBE-relaxed structure
Lines closer than 0.1° are merged.

Largest 6 diffraction maxima, in order of falling intensity, 2θ = 10–80°:
hkl 2 4 1, 2θ = 31.44°, d 2.846, I = 100
hkl 5 1 0, 2θ = 29.20°, d 3.058, I = 84
hkl 4 0 -2, 2θ = 27.16°, d 3.284, I = 81
hkl 2 0 -2, 2θ = 24.34°, d 3.657, I = 76
hkl 1 3 1, 2θ = 24.07°, d 3.697, I = 56
hkl 3 3 -3, 2θ = 41.08°, d 2.197, I = 41

Structural model:
a = 17.0938 Å, b = 15.2286 Å, c = 7.3130 Å
α = 90.00°, β = 114.06°, γ = 90.00°
Space group C2/c (No. 15)
Asymmetric unit:
Rb1 0.0000 0.0655 0.2500 x4
Rb2 0.0000 0.2108 0.7500 x4
Rb3 0.1018 0.4095 0.5635 x8
Mn1 0.1944 0.2294 0.2590 x8
Mn2 0.2250 0.0748 0.7999 x8
Se1 0.1211 0.3696 0.0817 x8
Se2 0.1535 0.2022 0.5600 x8
Se3 0.1738 0.0737 0.0904 x8

# 7
Computed powder X-ray diffraction pattern
Compound: RbSmMnSe3
Radiation: Cu Kα, 1.54184 Å
Structure: a GGA-PBE-relaxed structure
Lines closer than 0.1° are merged.

Largest 6 diffraction maxima, in order of falling intensity, 2θ = 10–80°:
hkl 1 0 -1, 2θ = 11.20°, d 7.898, I = 100
hkl 2 1 -1, 2θ = 28.23°, d 3.161, I = 99
hkl 2 1 0, 2θ = 28.75°, d 3.105, I = 50
hkl 0 0 3, 2θ = 27.90°, d 3.198, I = 38
hkl 2 1 -4, 2θ = 42.33°, d 2.135, I = 37
hkl 0 2 0, 2θ = 41.98°, d 2.152, I = 30

Structural model:
a = 9.4409 Å, b = 4.3039 Å, c = 10.1014 Å
α = 90.00°, β = 108.22°, γ = 90.00°
Space group P2_1/m (No. 11)
Asymmetric unit:
Rb1 0.2072 0.2500 0.2353 x2
Sm1 0.3321 0.7500 0.8595 x2
Mn1 0.0858 0.2500 0.6085 x2
Se1 0.1152 0.2500 0.8596 x2
Se2 0.1968 0.7500 0.5374 x2
Se3 0.4649 0.7500 0.1587 x2

# 8
Computed powder X-ray diffraction pattern
Compound: RbTmMn2Se4
Radiation: Cu Kα, 1.54184 Å
Structure: a GGA-PBE-relaxed structure
Lines closer than 0.1° are merged.

Largest 6 diffraction maxima, in order of falling intensity, 2θ = 10–80°:
hkl 0 1 1, 2θ = 14.56°, d 6.085, I = 100
hkl 1 1 2, 2θ = 26.09°, d 3.415, I = 92
hkl 2 2 0, 2θ = 34.08°, d 2.631, I = 67
hkl 2 0 2, 2θ = 33.00°, d 2.714, I = 57
hkl 0 2 2, 2θ = 29.35°, d 3.043, I = 51
hkl 1 2 1, 2θ = 27.09°, d 3.291, I = 48

Structural model:
a = 6.8151 Å, b = 8.2765 Å, c = 8.9787 Å
α = 90.00°, β = 90.00°, γ = 90.00°
Space group I222 (No. 23)
Asymmetric unit:
Rb1 0.0000 0.0000 0.0000 x2
Tm1 0.0000 0.0000 0.5000 x2
Mn1 0.0000 0.5000 0.1080 x4
Se1 0.2468 0.1718 0.3209 x8

Repeat the seventh record exactly.
Computed powder X-ray diffraction pattern
Compound: RbSmMnSe3
Radiation: Cu Kα, 1.54184 Å
Structure: a GGA-PBE-relaxed structure
Lines closer than 0.1° are merged.

Largest 6 diffraction maxima, in order of falling intensity, 2θ = 10–80°:
hkl 1 0 -1, 2θ = 11.20°, d 7.898, I = 100
hkl 2 1 -1, 2θ = 28.23°, d 3.161, I = 99
hkl 2 1 0, 2θ = 28.75°, d 3.105, I = 50
hkl 0 0 3, 2θ = 27.90°, d 3.198, I = 38
hkl 2 1 -4, 2θ = 42.33°, d 2.135, I = 37
hkl 0 2 0, 2θ = 41.98°, d 2.152, I = 30

Structural model:
a = 9.4409 Å, b = 4.3039 Å, c = 10.1014 Å
α = 90.00°, β = 108.22°, γ = 90.00°
Space group P2_1/m (No. 11)
Asymmetric unit:
Rb1 0.2072 0.2500 0.2353 x2
Sm1 0.3321 0.7500 0.8595 x2
Mn1 0.0858 0.2500 0.6085 x2
Se1 0.1152 0.2500 0.8596 x2
Se2 0.1968 0.7500 0.5374 x2
Se3 0.4649 0.7500 0.1587 x2